Starting from a structure optimized by DFT (GGA-PBE), the powder diffraction line list of K15Li was computed for CuKα.
No peak broadening, texture or thermal motion is included.

Principal peaks in the range 2θ from 10° to 90°, low angle first:
| (hkl) | 2θ/deg | d [Å] | intensity |
| --- | --- | --- | --- |
| 2 0 0 | 22.18 | 4.008 | 23.8 |
| 0 0 4 | 23.97 | 3.712 | 24.6 |
| 2 0 2 | 25.25 | 3.527 | 100.0 |
| 2 0 4 | 32.88 | 2.724 | 15.3 |
| 2 2 0 | 38.92 | 2.314 | 19.1 |
| 2 0 6 | 42.95 | 2.106 | 18.7 |
| 2 2 4 | 46.23 | 1.964 | 20.8 |
| 4 0 2 | 46.96 | 1.935 | 15.3 |
| 4 0 6 | 59.34 | 1.557 | 6.3 |
| 4 2 2 | 62.58 | 1.484 | 11.6 |

abc: 9.2560 9.2560 14.8498
angles: 90.00 90.00 120.00
Element x y z (fractional)
K  0.0000  0.0000  0.0000
K  0.0062  0.5031  0.5000
K  0.3241  0.1620  0.2638
K  0.3241  0.1620  0.7362
K  0.3333  0.6667  0.2434
K  0.3333  0.6667  0.7566
K  0.4969  0.5031  0.5000
K  0.4969  0.9938  0.5000
K  0.5029  0.0059  0.0000
K  0.5029  0.4971  0.0000
K  0.8380  0.1620  0.2638
K  0.8380  0.1620  0.7362
K  0.8380  0.6759  0.2638
K  0.8380  0.6759  0.7362
K  0.9941  0.4971  0.0000
Li  0.0000  0.0000  0.5000